The following is a computed powder X-ray diffraction pattern of Zn2SiH2O5. It was derived from a cell relaxed with PBE, using Cu Kα X-rays.

Most intense lines, 2θ = 10–90°, sorted by position:
d (Å)	I_rel
6.714	61
5.431	46
4.667	35
4.271	32
3.333	65
3.151	100
2.965	43
2.585	50
2.494	27
2.436	54

Atomic structure:
```
data_Zn2SiH2O5
_chemical_formula_sum 'Zn8 Si4 H8 O20'
_space_group_name_H-M_alt 'I m m 2'
_space_group_IT_number 44
_space_group_name_Hall 'I 2 -2'
_cell_length_a 8.541
_cell_length_b 10.862
_cell_length_c 5.169
_cell_angle_alpha 90.00
_cell_angle_beta 90.00
_cell_angle_gamma 90.00
loop_
_atom_site_label
_atom_site_type_symbol
_atom_site_fract_x
_atom_site_fract_y
_atom_site_fract_z
_atom_site_occupancy
Zn1 Zn 0.203 0.163 0.000 1
Si1 Si 0.000 0.146 0.494 1
H1 H 0.089 0.500 0.853 1
H2 H 0.123 0.500 0.328 1
O1 O 0.000 0.000 0.411 1
O2 O 0.000 0.167 0.807 1
O3 O 0.000 0.500 0.974 1
O4 O 0.159 0.205 0.366 1
O5 O 0.196 0.500 0.475 1
```

---

The following is a computed powder X-ray diffraction pattern of Li2PmGeO4. It was derived from a cell relaxed with PBE, using Cu Kα X-rays.

Most intense lines, 2θ = 10–90°, sorted by position:
d (Å)	I_rel
4.062	100
2.658	63
2.482	21
2.226	33
1.952	31
1.814	12
1.706	15
1.657	23
1.406	11
1.354	14

Atomic structure:
```
data_Li2PmGeO4
_chemical_formula_sum 'Li4 Pm2 Ge2 O8'
_space_group_name_H-M_alt 'I -4 m 2'
_space_group_IT_number 119
_space_group_name_Hall 'I -4 -2'
_cell_length_a 4.452
_cell_length_b 4.452
_cell_length_c 9.930
_cell_angle_alpha 90.00
_cell_angle_beta 90.00
_cell_angle_gamma 90.00
loop_
_atom_site_label
_atom_site_type_symbol
_atom_site_fract_x
_atom_site_fract_y
_atom_site_fract_z
_atom_site_occupancy
Li1 Li 0.000 0.000 0.000 1
Li2 Li 0.000 0.500 0.250 1
Pm1 Pm 0.000 0.500 0.750 1
Ge1 Ge 0.000 0.000 0.500 1
O1 O 0.000 0.000 0.290 1
O2 O 0.000 0.500 0.504 1
```